Entry 1:
Computed powder XRD pattern of Mg3Si4O12 for a wavelength of 1.5418 Å, from a structure optimized by DFT (GGA-PBE).
Intensities are scaled so that the largest is 100.

Most intense lines, 10 to 90 degrees two-theta, in order of rising 2θ:
2θ 19.14, rel. 38
2θ 19.71, rel. 42
2θ 22.01, rel. 40
2θ 25.47, rel. 27
2θ 27.85, rel. 78
2θ 35.69, rel. 100
2θ 40.05, rel. 22
2θ 53.49, rel. 25
2θ 59.55, rel. 22
2θ 65.26, rel. 20

Structure:
Cell lengths 5.359, 5.359, 19.326 Å; angles 92.98, 92.98, 119.65 degrees
Fractional positions:
Mg1 0.000 0.500 0.500
Mg2 0.146 0.323 0.000
Mg3 0.323 0.146 0.500
Mg4 0.500 0.000 0.000
Mg5 0.677 0.854 0.500
Mg6 0.854 0.677 0.000
Si1 0.052 0.219 0.645
Si2 0.114 0.614 0.855
Si3 0.219 0.052 0.145
Si4 0.386 0.886 0.645
Si5 0.614 0.114 0.355
Si6 0.781 0.948 0.855
Si7 0.886 0.386 0.145
Si8 0.948 0.781 0.355
O1 0.018 0.187 0.559
O2 0.059 0.729 0.173
O3 0.067 0.233 0.174
O4 0.144 0.649 0.941
O5 0.187 0.018 0.059
O6 0.226 0.563 0.673
O7 0.233 0.067 0.674
O8 0.271 0.941 0.327
O9 0.334 0.485 0.456
O10 0.351 0.856 0.559
O11 0.437 0.774 0.827
O12 0.485 0.334 0.956
O13 0.515 0.666 0.044
O14 0.563 0.226 0.173
O15 0.649 0.144 0.441
O16 0.666 0.515 0.544
O17 0.729 0.059 0.673
O18 0.767 0.933 0.326
O19 0.774 0.437 0.327
O20 0.813 0.982 0.941
O21 0.856 0.351 0.059
O22 0.933 0.767 0.826
O23 0.941 0.271 0.827
O24 0.982 0.813 0.441



Entry 2:
Computed powder XRD pattern of CeSe2 for a wavelength of 1.5418 Å, from a structure optimized by DFT (GGA-PBE).
Intensities are scaled so that the largest is 100.

Most intense lines, 10 to 90 degrees two-theta, in order of rising 2θ:
2θ 10.39, rel. 30
2θ 10.70, rel. 100
2θ 14.14, rel. 19
2θ 15.07, rel. 17
2θ 16.11, rel. 39
2θ 16.71, rel. 33
2θ 17.77, rel. 32
2θ 25.80, rel. 41
2θ 36.79, rel. 21
2θ 41.32, rel. 23

Structure:
Cell lengths 18.498, 18.498, 18.498 Å; angles 39.58, 39.58, 39.58 degrees
Fractional positions:
Ce1 0.029 0.374 0.947
Ce2 0.053 0.971 0.626
Ce3 0.126 0.471 0.553
Ce4 0.374 0.947 0.029
Ce5 0.447 0.874 0.529
Ce6 0.471 0.553 0.126
Ce7 0.529 0.447 0.874
Ce8 0.553 0.126 0.471
Ce9 0.626 0.053 0.971
Ce10 0.874 0.529 0.447
Ce11 0.947 0.029 0.374
Ce12 0.971 0.626 0.053
Se1 0.000 0.000 0.500
Se2 0.000 0.500 0.000
Se3 0.000 0.500 0.500
Se4 0.021 0.479 0.250
Se5 0.118 0.740 0.813
Se6 0.187 0.882 0.260
Se7 0.240 0.618 0.313
Se8 0.250 0.021 0.479
Se9 0.260 0.187 0.882
Se10 0.313 0.240 0.618
Se11 0.382 0.687 0.760
Se12 0.479 0.250 0.021
Se13 0.500 0.000 0.000
Se14 0.500 0.000 0.500
Se15 0.500 0.500 0.000
Se16 0.521 0.750 0.979
Se17 0.618 0.313 0.240
Se18 0.687 0.760 0.382
Se19 0.740 0.813 0.118
Se20 0.750 0.979 0.521
Se21 0.760 0.382 0.687
Se22 0.813 0.118 0.740
Se23 0.882 0.260 0.187
Se24 0.979 0.521 0.750



Entry 3:
Computed powder XRD pattern of Si3Cl8 for a wavelength of 1.5418 Å, from a structure optimized by DFT (GGA-PBE).
Intensities are scaled so that the largest is 100.

Most intense lines, 10 to 90 degrees two-theta, in order of rising 2θ:
2θ 13.70, rel. 67
2θ 16.79, rel. 21
2θ 21.73, rel. 46
2θ 23.84, rel. 100
2θ 28.88, rel. 82
2θ 29.30, rel. 41
2θ 33.96, rel. 35
2θ 41.92, rel. 20
2θ 50.92, rel. 33
2θ 55.00, rel. 20

Structure:
Cell lengths 12.932, 12.932, 12.932 Å; angles 60.00, 60.00, 60.00 degrees
Fractional positions:
Si1 0.000 0.000 0.000
Si2 0.075 0.075 0.075
Si3 0.075 0.075 0.776
Si4 0.075 0.776 0.075
Si5 0.250 0.250 0.250
Si6 0.276 0.575 0.575
Si7 0.500 0.500 0.500
Si8 0.575 0.276 0.575
Si9 0.575 0.575 0.276
Si10 0.575 0.575 0.575
Si11 0.750 0.750 0.750
Si12 0.776 0.075 0.075
Cl1 0.057 0.314 0.314
Cl2 0.067 0.258 0.709
Cl3 0.067 0.709 0.966
Cl4 0.067 0.966 0.258
Cl5 0.209 0.466 0.758
Cl6 0.209 0.567 0.466
Cl7 0.209 0.758 0.567
Cl8 0.258 0.067 0.966
Cl9 0.258 0.709 0.067
Cl10 0.258 0.966 0.709
Cl11 0.314 0.057 0.314
Cl12 0.314 0.314 0.057
Cl13 0.314 0.314 0.314
Cl14 0.466 0.209 0.567
Cl15 0.466 0.567 0.758
Cl16 0.466 0.758 0.209
Cl17 0.557 0.814 0.814
Cl18 0.567 0.209 0.758
Cl19 0.567 0.466 0.209
Cl20 0.567 0.758 0.466
Cl21 0.709 0.067 0.258
Cl22 0.709 0.258 0.966
Cl23 0.709 0.966 0.067
Cl24 0.758 0.209 0.466
Cl25 0.758 0.466 0.567
Cl26 0.758 0.567 0.209
Cl27 0.814 0.557 0.814
Cl28 0.814 0.814 0.557
Cl29 0.814 0.814 0.814
Cl30 0.966 0.067 0.709
Cl31 0.966 0.258 0.067
Cl32 0.966 0.709 0.258



Entry 4:
Computed powder XRD pattern of K2PAu for a wavelength of 1.5418 Å, from a structure optimized by DFT (GGA-PBE).
Intensities are scaled so that the largest is 100.

Most intense lines, 10 to 90 degrees two-theta, in order of rising 2θ:
2θ 14.93, rel. 100
2θ 17.92, rel. 37
2θ 29.63, rel. 42
2θ 30.12, rel. 21
2θ 31.94, rel. 55
2θ 33.51, rel. 23
2θ 37.27, rel. 23
2θ 37.51, rel. 19
2θ 41.64, rel. 26
2θ 54.65, rel. 18

Structure:
Cell lengths 6.184, 6.184, 6.356 Å; angles 90.00, 90.00, 73.66 degrees
Fractional positions:
K1 0.028 0.319 0.250
K2 0.319 0.028 0.750
K3 0.681 0.972 0.250
K4 0.972 0.681 0.750
P1 0.253 0.747 0.250
P2 0.747 0.253 0.750
Au1 0.500 0.500 0.000
Au2 0.500 0.500 0.500



Entry 5:
Computed powder XRD pattern of KTiO3 for a wavelength of 1.5418 Å, from a structure optimized by DFT (GGA-PBE).
Intensities are scaled so that the largest is 100.

Most intense lines, 10 to 90 degrees two-theta, in order of rising 2θ:
2θ 15.36, rel. 14
2θ 28.71, rel. 100
2θ 31.01, rel. 24
2θ 34.35, rel. 21
2θ 37.83, rel. 12
2θ 46.95, rel. 17
2θ 49.37, rel. 24
2θ 53.76, rel. 21
2θ 58.12, rel. 22
2θ 75.98, rel. 13

Structure:
Cell lengths 3.692, 3.692, 5.767 Å; angles 90.00, 90.00, 90.00 degrees
Fractional positions:
K1 0.000 0.000 0.000
Ti1 0.500 0.500 0.498
O1 0.000 0.500 0.610
O2 0.500 0.000 0.610
O3 0.500 0.500 0.198



Entry 6:
Computed powder XRD pattern of MgAu2F12 for a wavelength of 1.5418 Å, from a structure optimized by DFT (GGA-PBE).
Intensities are scaled so that the largest is 100.

Most intense lines, 10 to 90 degrees two-theta, in order of rising 2θ:
2θ 19.51, rel. 100
2θ 21.07, rel. 55
2θ 25.32, rel. 14
2θ 29.97, rel. 14
2θ 33.16, rel. 18
2θ 36.02, rel. 37
2θ 42.90, rel. 17
2θ 48.26, rel. 13
2θ 51.93, rel. 13
2θ 57.22, rel. 13

Structure:
Cell lengths 5.963, 5.963, 7.036 Å; angles 90.00, 90.00, 90.00 degrees
Fractional positions:
Mg1 0.000 0.000 0.000
Au1 0.000 0.500 0.216
Au2 0.500 0.000 0.784
F1 0.000 0.500 0.491
F2 0.000 0.500 0.940
F3 0.204 0.242 0.199
F4 0.204 0.758 0.199
F5 0.242 0.204 0.801
F6 0.242 0.796 0.801
F7 0.500 0.000 0.060
F8 0.500 0.000 0.509
F9 0.758 0.204 0.801
F10 0.758 0.796 0.801
F11 0.796 0.242 0.199
F12 0.796 0.758 0.199



Entry 7:
Computed powder XRD pattern of Ti12Cu9Bi2O36 for a wavelength of 1.5418 Å, from a structure optimized by DFT (GGA-PBE).
Intensities are scaled so that the largest is 100.

Most intense lines, 10 to 90 degrees two-theta, in order of rising 2θ:
2θ 16.79, rel. 16
2θ 23.84, rel. 11
2θ 29.30, rel. 9
2θ 33.96, rel. 100
2θ 38.12, rel. 12
2θ 41.94, rel. 9
2θ 48.79, rel. 27
2θ 60.66, rel. 12
2θ 60.81, rel. 36
2θ 81.48, rel. 8

Structure:
Cell lengths 10.549, 10.549, 6.479 Å; angles 90.00, 90.00, 120.00 degrees
Fractional positions:
Ti1 0.000 0.000 0.000
Ti2 0.000 0.500 0.000
Ti3 0.157 0.317 0.663
Ti4 0.160 0.843 0.663
Ti5 0.317 0.160 0.337
Ti6 0.333 0.667 0.339
Ti7 0.500 0.000 0.000
Ti8 0.500 0.500 0.000
Ti9 0.667 0.333 0.661
Ti10 0.683 0.840 0.663
Ti11 0.840 0.157 0.337
Ti12 0.843 0.683 0.337
Cu1 0.000 0.500 0.500
Cu2 0.168 0.336 0.163
Cu3 0.168 0.832 0.163
Cu4 0.336 0.168 0.837
Cu5 0.500 0.000 0.500
Cu6 0.500 0.500 0.500
Cu7 0.664 0.832 0.163
Cu8 0.832 0.168 0.837
Cu9 0.832 0.664 0.837
Bi1 0.333 0.667 0.824
Bi2 0.667 0.333 0.176
O1 0.017 0.164 0.830
O2 0.044 0.268 0.412
O3 0.072 0.447 0.749
O4 0.114 0.708 0.915
O5 0.147 0.983 0.830
O6 0.164 0.147 0.170
O7 0.174 0.525 0.152
O8 0.191 0.684 0.513
O9 0.224 0.956 0.412
O10 0.268 0.224 0.588
O11 0.292 0.406 0.915
O12 0.316 0.507 0.513
O13 0.351 0.826 0.152
O14 0.375 0.928 0.749
O15 0.406 0.114 0.085
O16 0.447 0.375 0.251
O17 0.475 0.649 0.152
O18 0.493 0.809 0.513
O19 0.507 0.191 0.487
O20 0.525 0.351 0.848
O21 0.553 0.625 0.749
O22 0.594 0.886 0.915
O23 0.625 0.072 0.251
O24 0.649 0.174 0.848
O25 0.684 0.493 0.487
O26 0.708 0.594 0.085
O27 0.732 0.776 0.412
O28 0.776 0.044 0.588
O29 0.809 0.316 0.487
O30 0.826 0.475 0.848
O31 0.836 0.853 0.830
O32 0.853 0.017 0.170
O33 0.886 0.292 0.085
O34 0.928 0.553 0.251
O35 0.956 0.732 0.588
O36 0.983 0.836 0.170